# Cs2Sb2OF10
Computed X-ray powder pattern, a wavelength of 1.5418 Å. Input: a structure optimized by DFT (PBE).

Main lines, in order of rising 2θ (10 to 90 degrees two-theta):
- (0 1 2), 2θ = 20.6°, d = 4.306 Å, intensity 23
- (1 1 -2), 2θ = 22.6°, d = 3.930 Å, intensity 100
- (2 0 0), 2θ = 23.7°, d = 3.750 Å, intensity 47
- (1 1 2), 2θ = 25.0°, d = 3.565 Å, intensity 59
- (3 1 -2), 2θ = 39.6°, d = 2.275 Å, intensity 21
- (2 1 -6), 2θ = 45.1°, d = 2.011 Å, intensity 22

Cell and atoms:
```
data_Cs2Sb2OF10
_cell_length_a 7.628
_cell_length_b 5.467
_cell_length_c 14.215
_cell_angle_alpha 90.00
_cell_angle_beta 100.53
_cell_angle_gamma 90.00
_symmetry_space_group_name_H-M 'P 1'
_symmetry_Int_Tables_number 1
loop_
_symmetry_equiv_pos_as_xyz
'x,y,z'
loop_
_atom_site_label
_atom_site_type_symbol
_atom_site_fract_x
_atom_site_fract_y
_atom_site_fract_z
Cs1 Cs 0.234 0.090 0.405
Cs2 Cs 0.234 0.910 0.905
Cs3 Cs 0.766 0.090 0.095
Cs4 Cs 0.766 0.910 0.595
Sb1 Sb 0.297 0.481 0.665
Sb2 Sb 0.297 0.519 0.165
Sb3 Sb 0.703 0.481 0.835
Sb4 Sb 0.703 0.519 0.335
O1 O 0.500 0.372 0.250
O2 O 0.500 0.628 0.750
F1 F 0.092 0.345 0.581
F2 F 0.092 0.655 0.081
F3 F 0.155 0.234 0.181
F4 F 0.155 0.766 0.681
F5 F 0.211 0.331 0.771
F6 F 0.211 0.669 0.271
F7 F 0.363 0.361 0.054
F8 F 0.363 0.639 0.554
F9 F 0.424 0.192 0.637
F10 F 0.424 0.808 0.137
F11 F 0.576 0.192 0.863
F12 F 0.576 0.808 0.363
F13 F 0.637 0.361 0.446
F14 F 0.637 0.639 0.946
F15 F 0.789 0.331 0.729
F16 F 0.789 0.669 0.229
F17 F 0.845 0.234 0.319
F18 F 0.845 0.766 0.819
F19 F 0.908 0.345 0.919
F20 F 0.908 0.655 0.419
```